# Na4B5C3
Computed powder XRD pattern, Cu Kα X-rays. Input: a crystal structure in Alexandria, relaxed with PBE.
Kinematic intensities with the Lorentz-polarization factor, no thermal factor.

Cell and atoms:
```
data_Na4B5C3
_chemical_formula_sum 'Na8 B10 C6'
_cell_length_a 8.985
_cell_length_b 8.985
_cell_length_c 5.003
_cell_angle_alpha 90.02
_cell_angle_beta 90.02
_cell_angle_gamma 36.96
_space_group_name_H-M_alt 'P 1'
_space_group_IT_number 1
_space_group_name_Hall 'P 1'
loop_
_atom_site_label
_atom_site_type_symbol
_atom_site_fract_x
_atom_site_fract_y
_atom_site_fract_z
Na1 Na 0.000 0.000 0.000
Na2 Na 0.000 0.500 0.500
Na3 Na 0.249 0.249 0.002
Na4 Na 0.250 0.750 0.500
Na5 Na 0.500 0.000 0.500
Na6 Na 0.500 0.500 0.000
Na7 Na 0.750 0.250 0.500
Na8 Na 0.751 0.751 0.998
B1 B 0.125 0.125 0.320
B2 B 0.125 0.125 0.660
B3 B 0.136 0.614 0.156
B4 B 0.375 0.375 0.664
B5 B 0.386 0.864 0.844
B6 B 0.614 0.136 0.156
B7 B 0.625 0.625 0.336
B8 B 0.864 0.386 0.844
B9 B 0.875 0.875 0.340
B10 B 0.875 0.875 0.680
C1 C 0.130 0.620 0.835
C2 C 0.376 0.376 0.335
C3 C 0.380 0.870 0.165
C4 C 0.620 0.130 0.835
C5 C 0.624 0.624 0.665
C6 C 0.870 0.380 0.165
```

Top 8 peaks for 15° ≤ 2θ ≤ 90°, low angle first:
2θ 36.30, intensity 171
2θ 41.88, intensity 491
2θ 42.23, intensity 1000
2θ 42.43, intensity 382
2θ 64.78, intensity 173
2θ 77.49, intensity 126
2θ 80.55, intensity 170
2θ 80.89, intensity 105

# As3Pb5ClO9
Computed powder XRD pattern, Cu Kα X-rays. Input: a crystal structure in Alexandria, relaxed with PBE.
Kinematic intensities with the Lorentz-polarization factor, no thermal factor.

Cell and atoms:
```
data_As3Pb5ClO9
_chemical_formula_sum 'As6 Pb10 Cl2 O18'
_cell_length_a 10.631
_cell_length_b 10.631
_cell_length_c 7.062
_cell_angle_alpha 90.00
_cell_angle_beta 90.00
_cell_angle_gamma 120.00
_space_group_name_H-M_alt 'P 1'
_space_group_IT_number 1
_space_group_name_Hall 'P 1'
loop_
_atom_site_label
_atom_site_type_symbol
_atom_site_fract_x
_atom_site_fract_y
_atom_site_fract_z
As1 As 0.017 0.416 0.250
As2 As 0.399 0.983 0.250
As3 As 0.416 0.399 0.750
As4 As 0.584 0.601 0.250
As5 As 0.601 0.017 0.750
As6 As 0.983 0.584 0.750
Pb1 Pb 0.043 0.774 0.250
Pb2 Pb 0.226 0.269 0.250
Pb3 Pb 0.269 0.043 0.750
Pb4 Pb 0.333 0.667 0.010
Pb5 Pb 0.333 0.667 0.490
Pb6 Pb 0.667 0.333 0.510
Pb7 Pb 0.667 0.333 0.990
Pb8 Pb 0.731 0.957 0.250
Pb9 Pb 0.774 0.731 0.750
Pb10 Pb 0.957 0.226 0.750
Cl1 Cl 0.000 0.000 0.000
Cl2 Cl 0.000 0.000 0.500
O1 O 0.096 0.373 0.056
O2 O 0.096 0.373 0.444
O3 O 0.150 0.613 0.250
O4 O 0.276 0.904 0.056
O5 O 0.276 0.904 0.444
O6 O 0.373 0.276 0.556
O7 O 0.373 0.276 0.944
O8 O 0.387 0.537 0.250
O9 O 0.463 0.850 0.250
O10 O 0.537 0.150 0.750
O11 O 0.613 0.463 0.750
O12 O 0.627 0.724 0.056
O13 O 0.627 0.724 0.444
O14 O 0.724 0.096 0.556
O15 O 0.724 0.096 0.944
O16 O 0.850 0.387 0.750
O17 O 0.904 0.627 0.556
O18 O 0.904 0.627 0.944
```

Top 8 peaks for 15° ≤ 2θ ≤ 90°, low angle first:
2θ 25.60, intensity 359
2θ 27.05, intensity 227
2θ 28.60, intensity 1000
2θ 29.10, intensity 501
2θ 30.39, intensity 939
2θ 43.75, intensity 267
2θ 45.13, intensity 272
2θ 46.58, intensity 260

# Pm4PtO7
Computed powder XRD pattern, Cu Kα X-rays. Input: a crystal structure in Alexandria, relaxed with PBE.
Kinematic intensities with the Lorentz-polarization factor, no thermal factor.

Cell and atoms:
```
data_Pm4PtO7
_chemical_formula_sum 'Pm4 Pt1 O7'
_cell_length_a 6.832
_cell_length_b 6.832
_cell_length_c 9.283
_cell_angle_alpha 130.79
_cell_angle_beta 130.79
_cell_angle_gamma 34.20
_space_group_name_H-M_alt 'P 1'
_space_group_IT_number 1
_space_group_name_Hall 'P 1'
loop_
_atom_site_label
_atom_site_type_symbol
_atom_site_fract_x
_atom_site_fract_y
_atom_site_fract_z
Pm1 Pm 0.088 0.088 0.398
Pm2 Pm 0.250 0.250 0.161
Pm3 Pm 0.750 0.750 0.839
Pm4 Pm 0.912 0.912 0.602
Pt1 Pt 0.500 0.500 0.000
O1 O 0.000 0.000 0.000
O2 O 0.132 0.132 0.692
O3 O 0.298 0.298 0.447
O4 O 0.406 0.406 0.109
O5 O 0.594 0.594 0.891
O6 O 0.702 0.702 0.553
O7 O 0.868 0.868 0.308
```

Top 8 peaks for 15° ≤ 2θ ≤ 90°, low angle first:
2θ 30.05, intensity 942
2θ 30.43, intensity 1000
2θ 31.12, intensity 673
2θ 44.06, intensity 189
2θ 45.13, intensity 246
2θ 53.15, intensity 288
2θ 54.48, intensity 287
2θ 55.17, intensity 344

# V2Pd5Au5
Computed powder XRD pattern, Cu Kα X-rays. Input: a crystal structure in Alexandria, relaxed with PBE.
Kinematic intensities with the Lorentz-polarization factor, no thermal factor.

Cell and atoms:
```
data_V2Pd5Au5
_chemical_formula_sum 'V2 Pd5 Au5'
_cell_length_a 4.900
_cell_length_b 4.943
_cell_length_c 9.391
_cell_angle_alpha 95.20
_cell_angle_beta 94.11
_cell_angle_gamma 119.64
_space_group_name_H-M_alt 'P 1'
_space_group_IT_number 1
_space_group_name_Hall 'P 1'
loop_
_atom_site_label
_atom_site_type_symbol
_atom_site_fract_x
_atom_site_fract_y
_atom_site_fract_z
V1 V 0.093 0.429 0.243
V2 V 0.907 0.571 0.757
Pd1 Pd 0.247 0.251 0.751
Pd2 Pd 0.325 0.660 0.004
Pd3 Pd 0.500 0.500 0.500
Pd4 Pd 0.675 0.340 0.996
Pd5 Pd 0.753 0.749 0.249
Au1 Au 0.000 0.000 0.000
Au2 Au 0.161 0.827 0.502
Au3 Au 0.424 0.091 0.248
Au4 Au 0.576 0.909 0.752
Au5 Au 0.839 0.173 0.498
```

Top 8 peaks for 15° ≤ 2θ ≤ 90°, low angle first:
2θ 20.90, intensity 133
2θ 38.74, intensity 1000
2θ 38.84, intensity 985
2θ 44.66, intensity 334
2θ 44.98, intensity 325
2θ 45.64, intensity 311
2θ 65.77, intensity 208
2θ 78.37, intensity 126

# Tb3Ga2Ni3
Computed powder XRD pattern, Cu Kα X-rays. Input: a crystal structure in Alexandria, relaxed with PBE.
Kinematic intensities with the Lorentz-polarization factor, no thermal factor.

Cell and atoms:
```
data_Tb3Ga2Ni3
_chemical_formula_sum 'Tb12 Ga8 Ni12'
_cell_length_a 7.376
_cell_length_b 14.792
_cell_length_c 5.625
_cell_angle_alpha 90.00
_cell_angle_beta 90.00
_cell_angle_gamma 90.00
_space_group_name_H-M_alt 'P 1'
_space_group_IT_number 1
_space_group_name_Hall 'P 1'
loop_
_atom_site_label
_atom_site_type_symbol
_atom_site_fract_x
_atom_site_fract_y
_atom_site_fract_z
Tb1 Tb 0.030 0.105 0.152
Tb2 Tb 0.030 0.395 0.152
Tb3 Tb 0.169 0.250 0.612
Tb4 Tb 0.331 0.750 0.112
Tb5 Tb 0.470 0.605 0.652
Tb6 Tb 0.470 0.895 0.652
Tb7 Tb 0.530 0.105 0.348
Tb8 Tb 0.530 0.395 0.348
Tb9 Tb 0.669 0.250 0.888
Tb10 Tb 0.831 0.750 0.388
Tb11 Tb 0.970 0.605 0.848
Tb12 Tb 0.970 0.895 0.848
Ga1 Ga 0.124 0.602 0.354
Ga2 Ga 0.124 0.898 0.354
Ga3 Ga 0.376 0.102 0.854
Ga4 Ga 0.376 0.398 0.854
Ga5 Ga 0.624 0.602 0.146
Ga6 Ga 0.624 0.898 0.146
Ga7 Ga 0.876 0.102 0.646
Ga8 Ga 0.876 0.398 0.646
Ni1 Ni 0.172 0.035 0.581
Ni2 Ni 0.172 0.465 0.581
Ni3 Ni 0.185 0.750 0.593
Ni4 Ni 0.315 0.250 0.093
Ni5 Ni 0.328 0.535 0.081
Ni6 Ni 0.328 0.965 0.081
Ni7 Ni 0.672 0.035 0.919
Ni8 Ni 0.672 0.465 0.919
Ni9 Ni 0.685 0.750 0.907
Ni10 Ni 0.815 0.250 0.407
Ni11 Ni 0.828 0.535 0.419
Ni12 Ni 0.828 0.965 0.419
```

Top 8 peaks for 15° ≤ 2θ ≤ 90°, low angle first:
2θ 29.59, intensity 326
2θ 31.40, intensity 524
2θ 34.32, intensity 1000
2θ 34.67, intensity 594
2θ 36.44, intensity 521
2θ 37.99, intensity 545
2θ 38.83, intensity 561
2θ 40.02, intensity 546

# LiPdAu
Computed powder XRD pattern, Cu Kα X-rays. Input: a crystal structure in Alexandria, relaxed with PBE.
Kinematic intensities with the Lorentz-polarization factor, no thermal factor.

Cell and atoms:
```
data_LiPdAu
_chemical_formula_sum 'Li2 Pd2 Au2'
_cell_length_a 3.973
_cell_length_b 3.902
_cell_length_c 6.333
_cell_angle_alpha 90.00
_cell_angle_beta 108.06
_cell_angle_gamma 90.00
_space_group_name_H-M_alt 'P 1'
_space_group_IT_number 1
_space_group_name_Hall 'P 1'
loop_
_atom_site_label
_atom_site_type_symbol
_atom_site_fract_x
_atom_site_fract_y
_atom_site_fract_z
Li1 Li 0.156 0.000 0.312
Li2 Li 0.844 0.000 0.688
Pd1 Pd 0.000 0.500 0.000
Pd2 Pd 0.500 0.000 0.000
Au1 Au 0.332 0.500 0.665
Au2 Au 0.668 0.500 0.335
```

Top 8 peaks for 15° ≤ 2θ ≤ 90°, low angle first:
2θ 22.79, intensity 765
2θ 23.58, intensity 344
2θ 31.63, intensity 344
2θ 31.75, intensity 341
2θ 39.34, intensity 1000
2θ 39.44, intensity 993
2θ 45.18, intensity 337
2θ 45.67, intensity 328

# Sr2Cu4AsP3
Computed powder XRD pattern, Cu Kα X-rays. Input: a crystal structure in Alexandria, relaxed with PBE.
Kinematic intensities with the Lorentz-polarization factor, no thermal factor.

Cell and atoms:
```
data_Sr2Cu4AsP3
_chemical_formula_sum 'Sr2 Cu4 As1 P3'
_cell_length_a 4.217
_cell_length_b 4.217
_cell_length_c 9.862
_cell_angle_alpha 90.00
_cell_angle_beta 90.00
_cell_angle_gamma 90.00
_space_group_name_H-M_alt 'P 1'
_space_group_IT_number 1
_space_group_name_Hall 'P 1'
loop_
_atom_site_label
_atom_site_type_symbol
_atom_site_fract_x
_atom_site_fract_y
_atom_site_fract_z
Sr1 Sr 0.000 0.500 0.244
Sr2 Sr 0.500 0.000 0.756
Cu1 Cu 0.000 0.000 0.000
Cu2 Cu 0.000 0.500 0.631
Cu3 Cu 0.500 0.000 0.369
Cu4 Cu 0.500 0.500 0.000
As1 As 0.000 0.000 0.500
P1 P 0.000 0.500 0.871
P2 P 0.500 0.000 0.129
P3 P 0.500 0.500 0.500
```

Top 8 peaks for 15° ≤ 2θ ≤ 90°, low angle first:
2θ 34.60, intensity 515
2θ 35.17, intensity 1000
2θ 42.89, intensity 575
2θ 51.12, intensity 200
2θ 56.23, intensity 243
2θ 62.27, intensity 181
2θ 68.88, intensity 159
2θ 73.58, intensity 217